Record 1
Theoretical X-ray diffraction stick pattern of AlAs4F2 for copper Kα, from a crystal structure in Alexandria, relaxed with GGA-PBE.
Kinematic intensities with the Lorentz-polarization factor, no thermal factor.

Cell and atoms:
a = 9.889 Å, b = 9.889 Å, c = 9.889 Å
α = 153.48°, β = 153.48°, γ = 37.86°
Sites, in units of the cell vectors:
Al: 0.000 0.000 0.000
As: 0.000 0.500 0.500
As: 0.252 0.252 0.000
As: 0.500 0.000 0.500
As: 0.748 0.748 0.000
F: 0.348 0.348 0.000
F: 0.652 0.652 0.000

Peak list (6 most intense, 5° ≤ 2θ ≤ 70°, low angle first)
- d = 4.677 Å, 18.97°, intensity 793
- d = 3.034 Å, 29.44°, intensity 1000
- d = 2.268 Å, 39.74°, intensity 353
- d = 2.236 Å, 40.34°, intensity 299
- d = 2.041 Å, 44.39°, intensity 345
- d = 1.628 Å, 56.52°, intensity 206


Record 2
Theoretical X-ray diffraction stick pattern of NaAlAsO4F for copper Kα, from a crystal structure in Alexandria, relaxed with GGA-PBE.
Kinematic intensities with the Lorentz-polarization factor, no thermal factor.

Cell and atoms:
a = 5.455 Å, b = 5.455 Å, c = 7.139 Å
α = 105.48°, β = 105.48°, γ = 104.34°
Sites, in units of the cell vectors:
Na: 0.171 0.829 0.750
Na: 0.829 0.171 0.250
Al: 0.500 0.500 0.000
Al: 0.500 0.500 0.500
As: 0.186 0.814 0.250
As: 0.814 0.186 0.750
O: 0.137 0.263 0.914
O: 0.196 0.601 0.390
O: 0.263 0.137 0.414
O: 0.399 0.804 0.110
O: 0.601 0.196 0.890
O: 0.737 0.863 0.586
O: 0.804 0.399 0.610
O: 0.863 0.737 0.086
F: 0.435 0.565 0.750
F: 0.565 0.435 0.250

Peak list (6 most intense, 5° ≤ 2θ ≤ 70°, low angle first)
- d = 4.837 Å, 18.34°, intensity 1000
- d = 3.377 Å, 26.39°, intensity 542
- d = 3.281 Å, 27.18°, intensity 769
- d = 3.013 Å, 29.65°, intensity 818
- d = 2.593 Å, 34.59°, intensity 691
- d = 2.576 Å, 34.82°, intensity 478


Record 3
Theoretical X-ray diffraction stick pattern of AlAs2O6F for copper Kα, from a crystal structure in Alexandria, relaxed with GGA-PBE.
Kinematic intensities with the Lorentz-polarization factor, no thermal factor.

Cell and atoms:
a = 8.751 Å, b = 8.751 Å, c = 8.751 Å
α = 154.94°, β = 102.93°, γ = 82.55°
Sites, in units of the cell vectors:
Al: 0.272 0.022 0.250
Al: 0.728 0.978 0.750
As: 0.148 0.160 0.988
As: 0.328 0.840 0.488
As: 0.672 0.160 0.512
As: 0.852 0.840 0.012
O: 0.049 0.922 0.126
O: 0.169 0.701 0.469
O: 0.265 0.129 0.135
O: 0.268 0.299 0.969
O: 0.296 0.922 0.374
O: 0.494 0.129 0.365
O: 0.506 0.871 0.635
O: 0.704 0.078 0.626
O: 0.732 0.701 0.031
O: 0.735 0.871 0.865
O: 0.831 0.299 0.531
O: 0.951 0.078 0.874
F: 0.270 0.520 0.750
F: 0.730 0.480 0.250

Peak list (6 most intense, 5° ≤ 2θ ≤ 70°, low angle first)
- d = 5.452 Å, 16.26°, intensity 824
- d = 4.197 Å, 21.17°, intensity 1000
- d = 3.648 Å, 24.40°, intensity 655
- d = 2.870 Å, 31.16°, intensity 387
- d = 2.816 Å, 31.78°, intensity 274
- d = 2.540 Å, 35.34°, intensity 460


Record 4
Theoretical X-ray diffraction stick pattern of AlTc2AsF for copper Kα, from a crystal structure in Alexandria, relaxed with GGA-PBE.
Kinematic intensities with the Lorentz-polarization factor, no thermal factor.

Cell and atoms:
a = 4.734 Å, b = 4.734 Å, c = 4.602 Å
α = 90.00°, β = 90.00°, γ = 90.00°
Sites, in units of the cell vectors:
Al: 0.000 0.000 0.000
Tc: 0.000 0.500 0.000
Tc: 0.500 0.000 0.000
As: 0.000 0.000 0.500
F: 0.500 0.500 0.500

Peak list (6 most intense, 5° ≤ 2θ ≤ 70°, low angle first)
- d = 4.602 Å, 19.29°, intensity 232
- d = 2.707 Å, 33.09°, intensity 1000
- d = 2.367 Å, 38.02°, intensity 487
- d = 2.301 Å, 39.15°, intensity 224
- d = 1.650 Å, 55.71°, intensity 309
- d = 1.423 Å, 65.58°, intensity 257